For Na2BeB2O5, a crystal structure in the Materials Project, relaxed with GGA-PBE gives the calculated powder diffractogram in this record (Cu Ka).

Top 12 peaks for 10 to 90 degrees two-theta, low angle first:
2θ 19.66, I = 12
2θ 28.79, I = 100
2θ 29.49, I = 16
2θ 36.40, I = 13
2θ 37.13, I = 29
2θ 37.83, I = 13
2θ 40.80, I = 12
2θ 45.55, I = 20
2θ 45.82, I = 37
2θ 49.11, I = 18
2θ 52.05, I = 14
2θ 76.00, I = 14

Structural model:
abc: 5.0403 5.0403 9.1238
angles: 94.77 94.77 108.22
Positions (direct):
1 Na 0.1845 0.7946 0.9285
2 Na 0.2054 0.8155 0.5715
3 Na 0.7946 0.1845 0.4285
4 Na 0.8155 0.2054 0.0715
5 Be 0.2107 0.7893 0.2500
6 Be 0.7893 0.2107 0.7500
7 B 0.3278 0.3396 0.3217
8 B 0.3396 0.3278 0.8217
9 B 0.6604 0.6722 0.1783
10 B 0.6722 0.6604 0.6783
11 O 0.0756 0.2550 0.8670
12 O 0.1769 0.5186 0.3438
13 O 0.2550 0.0756 0.3670
14 O 0.4243 0.5757 0.7500
15 O 0.4814 0.8231 0.1562
16 O 0.5186 0.1769 0.8438
17 O 0.5757 0.4243 0.2500
18 O 0.7450 0.9244 0.6330
19 O 0.8231 0.4814 0.6562
20 O 0.9244 0.7450 0.1330


For NaBeB3O6, a crystal structure in the Materials Project, relaxed with GGA-PBE gives the calculated powder diffractogram in this record (Cu Ka).

Top 12 peaks for 10 to 90 degrees two-theta, low angle first:
2θ 12.07, I = 42
2θ 24.28, I = 14
2θ 26.71, I = 17
2θ 27.83, I = 100
2θ 28.82, I = 63
2θ 29.96, I = 19
2θ 31.58, I = 13
2θ 36.24, I = 14
2θ 42.69, I = 16
2θ 43.85, I = 18
2θ 44.16, I = 12
2θ 45.21, I = 12

Structural model:
abc: 9.2417 12.0396 4.4523
angles: 90.00 90.00 90.00
Positions (direct):
1 Na 0.1760 0.1132 0.0000
2 Na 0.3240 0.6132 0.5000
3 Na 0.6760 0.3868 0.0000
4 Na 0.8240 0.8868 0.5000
5 Be 0.0919 0.5420 0.0465
6 Be 0.4081 0.0420 0.5465
7 Be 0.5919 0.9580 0.0465
8 Be 0.9081 0.4580 0.5465
9 B 0.0695 0.7544 0.1008
10 B 0.0832 0.3362 0.2227
11 B 0.2225 0.8948 0.3787
12 B 0.2775 0.3948 0.8787
13 B 0.4168 0.8362 0.7227
14 B 0.4305 0.2544 0.6008
15 B 0.5695 0.7456 0.1008
16 B 0.5832 0.1638 0.2227
17 B 0.7225 0.6052 0.3787
18 B 0.7775 0.1052 0.8787
19 B 0.9168 0.6638 0.7227
20 B 0.9305 0.2456 0.6008
21 O 0.0297 0.2412 0.3604
22 O 0.0367 0.4412 0.2822
23 O 0.1044 0.8608 0.2061
24 O 0.1174 0.6582 0.2127
25 O 0.1952 0.3123 0.0236
26 O 0.2435 0.5026 0.8994
27 O 0.2565 0.0026 0.3994
28 O 0.3048 0.8123 0.5236
29 O 0.3826 0.1582 0.7127
30 O 0.3956 0.3608 0.7061
31 O 0.4633 0.9412 0.7822
32 O 0.4703 0.7412 0.8604
33 O 0.5297 0.2588 0.3604
34 O 0.5367 0.0588 0.2822
35 O 0.6044 0.6392 0.2061
36 O 0.6174 0.8418 0.2127
37 O 0.6952 0.1877 0.0236
38 O 0.7435 0.9974 0.8994
39 O 0.7565 0.4974 0.3994
40 O 0.8048 0.6877 0.5236
41 O 0.8826 0.3418 0.7127
42 O 0.8956 0.1392 0.7061
43 O 0.9633 0.5588 0.7822
44 O 0.9703 0.7588 0.8604